# Li4Cr5FeO12
Simulated X-ray diffraction stick pattern, CuKα. Input: a crystal structure in Alexandria, relaxed with PBE+U.
Lines closer than 0.1° are merged.

Largest 10 diffraction maxima, in order of rising 2θ, 10° ≤ 2θ ≤ 80°:
17.1 deg, d 5.200, I = 100.0; 35.1 deg, d 2.555, I = 10.6; 36.6 deg, d 2.453, I = 22.4; 41.8 deg, d 2.160, I = 16.1; 42.2 deg, d 2.143, I = 7.9; 45.5 deg, d 1.994, I = 6.5; 45.6 deg, d 1.988, I = 13.1; 54.2 deg, d 1.692, I = 8.1; 59.5 deg, d 1.555, I = 8.0; 62.3 deg, d 1.490, I = 9.4

```
Li4Cr5FeO12
1.0
2.5768 -4.4891 0.0000
2.5768 4.4891 0.0000
-1.7921 0.0000 10.3992
Li Cr Fe O
4 5 1 12
Direct
0.0708 0.4070 0.2188
0.4070 0.0708 0.2188
0.5930 0.9292 0.7812
0.9292 0.5930 0.7812
0.1681 0.8319 0.5000
0.3351 0.6649 0.0000
0.5000 0.5000 0.5000
0.6649 0.3351 0.0000
0.8319 0.1681 0.5000
0.0000 0.0000 0.0000
0.0485 0.7009 0.1042
0.1363 0.4689 0.4015
0.2051 0.2051 0.5876
0.2991 0.9515 0.8958
0.3557 0.3557 0.1023
0.4689 0.1363 0.4015
0.5311 0.8637 0.5985
0.6443 0.6443 0.8977
0.7009 0.0485 0.1042
0.7949 0.7949 0.4124
0.8637 0.5311 0.5985
0.9515 0.2991 0.8958
```